Calculated X-ray powder pattern
Compound: HfGaW
Radiation: a wavelength of 1.5418 Å
Structure: the PBE geometry in Alexandria

Most intense lines, 2θ = 15–90°, most intense first:
d [Å]	two_theta	I_rel	(hkl)
2.504	35.87	100.0	1 1 1
2.160	41.81	62.5	1 1 2
2.468	36.41	33.6	0 0 3
2.065	43.85	30.2	0 2 0
2.535	35.41	21.4	1 0 2
1.740	52.61	17.8	2 0 0
1.583	58.27	17.5	0 2 3
1.519	60.98	17.0	1 1 4
1.330	70.83	14.6	2 2 0
2.118	42.68	13.4	0 1 3

Structure:
```
HfGaW
1.0
3.479 0.000 0.000
0.000 4.129 0.000
0.000 0.000 7.403
Hf Ga W
2 2 2
direct
0.250 0.250 0.143 Hf
0.750 0.750 0.857 Hf
0.250 0.250 0.763 Ga
0.750 0.750 0.237 Ga
0.250 0.750 0.514 W
0.750 0.250 0.486 W
```